This entry pairs a crystal structure of Cs3U2CdO9 with its calculated X-ray diffraction stick pattern. Radiation: Cu Kα (weighted mean of Kα1 and Kα2). Structure: a GGA-PBE-relaxed structure.

The 10 most intense peaks (10 to 80 degrees two-theta), sorted by position:
| 2θ (°) | d [Å] | Rel. int. |
| --- | --- | --- |
| 11.51 | 7.685 | 2 |
| 16.31 | 5.433 | 3 |
| 20.01 | 4.436 | 10 |
| 28.45 | 3.137 | 100 |
| 40.67 | 2.218 | 28 |
| 45.73 | 1.984 | 4 |
| 50.38 | 1.811 | 42 |
| 58.88 | 1.569 | 18 |
| 66.67 | 1.403 | 19 |
| 74.02 | 1.281 | 6 |

Cell and atoms:
Cell lengths 6.2736, 6.2736, 7.6855 Å; angles 90.00, 90.00, 120.00 degrees
Space group P-3m1 (No. 164)
Asymmetric unit:
1 Cs 0.0000 0.0000 0.0000 [1 per cell]
2 Cs 0.3333 0.6667 0.6568 [2 per cell]
3 U 0.3333 0.6667 0.1634 [2 per cell]
4 Cd 0.0000 0.0000 0.5000 [1 per cell]
5 O 0.0000 0.5000 0.0000 [3 per cell]
6 O 0.1802 0.3605 0.3123 [6 per cell]